Record 1
# Si23Bi3
Calculated PXRD pattern, Cu Kα (λ = 1.5418 Å). Input: a structure optimized by DFT (PBE).

Most intense lines, 2θ from 10° to 90°, sorted by position:
12.3 deg, d = 7.218 Å, I = 50.7, hkl 1 1 0; 19.4 deg, d = 4.565 Å, I = 100.0, hkl 2 1 0; 30.3 deg, d = 2.947 Å, I = 82.6, hkl 2 2 2; 31.6 deg, d = 2.831 Å, I = 89.0, hkl 3 2 0; 32.8 deg, d = 2.728 Å, I = 72.9, hkl 3 2 1; 48.0 deg, d = 1.896 Å, I = 40.2, hkl 5 2 0

Crystal structure
Lattice parameters (Å, degrees): 10.2083 10.2083 10.2083 90.00 90.00 90.00
Space group Pm-3n (No. 223)
One atom of each set of equivalent atoms:
Si 0.0000 0.1166 0.3093
Si 0.0000 0.2500 0.5000
Si 0.1842 0.1842 0.1842
Bi 0.0000 0.5000 0.2500

Record 2
# La8TbHo3
Calculated PXRD pattern, Cu Kα (λ = 1.5418 Å). Input: a structure optimized by DFT (PBE).

Most intense lines, 2θ from 10° to 90°, sorted by position:
21.5 deg, d = 4.141 Å, I = 20.3, hkl 1 1 2; 29.8 deg, d = 2.994 Å, I = 37.8, hkl 0 0 4; 30.7 deg, d = 2.912 Å, I = 31.0, hkl 2 0 2; 31.2 deg, d = 2.868 Å, I = 100.0, hkl 1 3 2; 34.7 deg, d = 2.586 Å, I = 21.1, hkl 2 2 2; 50.1 deg, d = 1.821 Å, I = 20.0, hkl 3 3 2

Crystal structure
Lattice parameters (Å, degrees): 6.6647 11.2488 11.9748 90.00 90.00 90.00
Space group I222 (No. 23)
One atom of each set of equivalent atoms:
La 0.0009 0.1581 0.2502
La 0.2476 0.2510 0.4722
Tb 0.0000 0.0000 0.0000
Ho 0.0000 0.0000 0.5000
Ho 0.0000 0.5000 0.2410

Record 3
# La3Zn9Pt2
Calculated PXRD pattern, Cu Kα (λ = 1.5418 Å). Input: a structure optimized by DFT (PBE).

Most intense lines, 2θ from 10° to 90°, sorted by position:
34.6 deg, d = 2.594 Å, I = 100.0, hkl 1 2 3; 35.4 deg, d = 2.536 Å, I = 21.1, hkl 0 3 3; 35.5 deg, d = 2.527 Å, I = 17.9, hkl 1 3 0; 39.4 deg, d = 2.286 Å, I = 26.9, hkl 1 0 5; 40.5 deg, d = 2.228 Å, I = 20.2, hkl 0 0 6; 41.0 deg, d = 2.204 Å, I = 36.1, hkl 2 0 0

Crystal structure
Lattice parameters (Å, degrees): 4.4070 9.2545 13.3663 90.00 90.00 90.00
Space group Immm (No. 71)
One atom of each set of equivalent atoms:
La 0.0000 0.0000 0.0000
La 0.0000 0.0000 0.3126
Zn 0.0000 0.2828 0.1246
Zn 0.0000 0.3571 0.3257
Zn 0.0000 0.5000 0.0000
Pt 0.0000 0.2246 0.5000